Theoretical XRD peak list of Dy15Ho2Mg2 for Cu Ka, from a cell relaxed with GGA-PBE.

Crystal structure
Unit cell a=8.5735 b=8.5735 c=8.5735 alpha=80.82 beta=80.82 gamma=80.82
Sites, in units of the cell vectors:
1 Dy 0.0000 0.0000 0.5000
2 Dy 0.0000 0.2978 0.7022
3 Dy 0.0000 0.5000 0.0000
4 Dy 0.0000 0.7022 0.2978
5 Dy 0.1495 0.6373 0.6373
6 Dy 0.2978 0.0000 0.7022
7 Dy 0.2978 0.7022 0.0000
8 Dy 0.3627 0.3627 0.8505
9 Dy 0.3627 0.8505 0.3627
10 Dy 0.5000 0.0000 0.0000
11 Dy 0.6373 0.1495 0.6373
12 Dy 0.6373 0.6373 0.1495
13 Dy 0.7022 0.0000 0.2978
14 Dy 0.7022 0.2978 0.0000
15 Dy 0.8505 0.3627 0.3627
16 Ho 0.3243 0.3243 0.3243
17 Ho 0.6757 0.6757 0.6757
18 Mg 0.0930 0.0930 0.0930
19 Mg 0.9070 0.9070 0.9070

The 10 most intense peaks (2θ from 10° to 90°), in order of rising 2θ:
5.558 Å, intensity 33.0
3.209 Å, intensity 15.0
3.192 Å, intensity 15.5
2.842 Å, intensity 35.5
2.794 Å, intensity 100.0
2.781 Å, intensity 68.5
2.497 Å, intensity 59.9
1.761 Å, intensity 18.0
1.604 Å, intensity 20.7
1.397 Å, intensity 14.8